1.
For K4W2Cl10O, a cell relaxed with PBE+U gives the calculated powder X-ray diffraction pattern in this record (Cu Ka).
Neutral-atom scattering factors, no anomalous dispersion.

Crystal structure
```
data_K4W2Cl10O
_chemical_formula_sum 'K8 W4 Cl20 O2'
_cell_length_a 7.3500
_cell_length_b 7.3500
_cell_length_c 18.0390
_cell_angle_alpha 90.00
_cell_angle_beta 90.00
_cell_angle_gamma 90.00
_space_group_name_H-M_alt 'I 4/m m m'
_space_group_IT_number 139
_space_group_name_Hall '-I 4 2'
loop_
_atom_site_label
_atom_site_fract_x
_atom_site_fract_y
_atom_site_fract_z
_atom_site_occupancy
K1 0.0000 0.5000 0.0000 1
K2 0.0000 0.5000 0.2500 1
W1 0.0000 0.0000 0.1066 1
Cl1 0.0000 0.0000 0.2421 1
Cl2 0.2375 0.2375 0.1119 1
O1 0.0000 0.0000 0.0000 1
```

The 10 most intense peaks (10° ≤ 2θ ≤ 90°), low angle first:
| (hkl) | 2θ/deg | d/Å | Rel. int. |
| --- | --- | --- | --- |
| 1 0 1 | 13.01 | 6.807 | 100 |
| 1 1 0 | 17.06 | 5.197 | 21 |
| 1 1 4 | 26.16 | 3.406 | 31 |
| 1 0 5 | 27.57 | 3.236 | 46 |
| 2 2 0 | 34.51 | 2.599 | 44 |
| 2 1 5 | 37.01 | 2.429 | 19 |
| 3 1 4 | 43.82 | 2.066 | 16 |
| 4 0 0 | 49.60 | 1.838 | 17 |
| 3 2 5 | 51.50 | 1.774 | 15 |
| 2 2 8 | 53.83 | 1.703 | 16 |

2.
For LaMoClO4, a cell relaxed with PBE+U gives the calculated powder X-ray diffraction pattern in this record (Cu Ka).
Neutral-atom scattering factors, no anomalous dispersion.

Crystal structure
```
data_LaMoClO4
_chemical_formula_sum 'La8 Mo8 Cl8 O32'
_cell_length_a 19.4233
_cell_length_b 5.9032
_cell_length_c 8.0767
_cell_angle_alpha 90.00
_cell_angle_beta 90.00
_cell_angle_gamma 90.00
_space_group_name_H-M_alt 'P 1 21/c 1'
_space_group_IT_number 14
_space_group_name_Hall '-P 2ybc'
loop_
_atom_site_label
_atom_site_fract_x
_atom_site_fract_y
_atom_site_fract_z
_atom_site_occupancy
La1 0.1044 0.1994 0.1269 1
La2 0.3954 0.7009 0.3777 1
Mo1 0.1786 0.7480 0.4100 1
Mo2 0.3212 0.2437 0.6590 1
Cl1 0.0114 0.7398 0.6244 1
Cl2 0.4885 0.2405 0.8730 1
O1 0.1326 0.0203 0.3998 1
O2 0.1350 0.0138 0.8473 1
O3 0.1723 0.6858 0.6287 1
O4 0.2313 0.2399 0.6205 1
O5 0.2687 0.7333 0.8740 1
O6 0.3271 0.1839 0.8782 1
O7 0.3645 0.5207 0.6502 1
O8 0.3676 0.5131 0.0970 1
```

The 10 most intense peaks (10° ≤ 2θ ≤ 90°), low angle first:
| (hkl) | 2θ/deg | d/Å | Rel. int. |
| --- | --- | --- | --- |
| 4 0 0 | 18.27 | 4.856 | 64 |
| 4 1 0 | 23.73 | 3.750 | 100 |
| 0 1 2 | 26.75 | 3.333 | 99 |
| 4 0 2 | 28.75 | 3.105 | 55 |
| 0 2 0 | 30.28 | 2.952 | 64 |
| 6 1 0 | 31.52 | 2.838 | 43 |
| 4 1 -2 | 32.59 | 2.748 | 75 |
| 8 1 0 | 40.16 | 2.245 | 38 |
| 4 2 2 | 42.25 | 2.139 | 29 |
| 0 0 4 | 44.89 | 2.019 | 31 |

3.
For LiLu2W2Cl2O8, a cell relaxed with PBE+U gives the calculated powder X-ray diffraction pattern in this record (Cu Ka).
Neutral-atom scattering factors, no anomalous dispersion.

Crystal structure
```
data_LiLu2W2Cl2O8
_chemical_formula_sum 'Li1 Lu2 W2 Cl2 O8'
_cell_length_a 6.0011
_cell_length_b 6.7133
_cell_length_c 6.9060
_cell_angle_alpha 69.87
_cell_angle_beta 68.26
_cell_angle_gamma 75.17
_space_group_name_H-M_alt 'P 1'
_space_group_IT_number 1
_space_group_name_Hall 'P 1'
loop_
_atom_site_label
_atom_site_fract_x
_atom_site_fract_y
_atom_site_fract_z
_atom_site_occupancy
Li1 0.0000 0.0000 0.0000 1
Lu1 0.0778 0.2629 0.4839 1
Lu2 0.5330 0.5777 0.0782 1
W1 0.1894 0.6358 0.6531 1
W2 0.4414 0.1863 0.9149 1
Cl1 0.7913 0.6705 0.2779 1
Cl2 0.8182 0.1814 0.2873 1
O1 0.2043 0.9200 0.5701 1
O2 0.2051 0.2768 0.7566 1
O3 0.2482 0.5683 0.3977 1
O4 0.3583 0.2769 0.1756 1
O5 0.3697 0.8999 0.0002 1
O6 0.4154 0.5395 0.8076 1
O7 0.7758 0.1536 0.7992 1
O8 0.8746 0.6300 0.8121 1
```

The 10 most intense peaks (10° ≤ 2θ ≤ 90°), low angle first:
| (hkl) | 2θ/deg | d/Å | Rel. int. |
| --- | --- | --- | --- |
| 0 1 0 | 14.21 | 6.234 | 43 |
| 1 0 0 | 16.07 | 5.514 | 39 |
| 1 0 1 | 17.94 | 4.943 | 42 |
| 1 0 -1 | 24.79 | 3.591 | 100 |
| 1 -1 1 | 26.71 | 3.338 | 96 |
| 0 1 2 | 28.51 | 3.131 | 25 |
| 0 2 0 | 28.64 | 3.117 | 39 |
| 1 2 2 | 32.22 | 2.778 | 30 |
| 2 2 1 | 36.04 | 2.492 | 28 |
| 3 2 0 | 54.06 | 1.696 | 24 |

4.
For LiLu2W2Cl2O8, a cell relaxed with PBE+U gives the calculated powder X-ray diffraction pattern in this record (Cu Ka).
Neutral-atom scattering factors, no anomalous dispersion.

Crystal structure
```
data_LiLu2W2Cl2O8
_chemical_formula_sum 'Li1 Lu2 W2 Cl2 O8'
_cell_length_a 6.0030
_cell_length_b 6.6423
_cell_length_c 7.0146
_cell_angle_alpha 73.98
_cell_angle_beta 83.19
_cell_angle_gamma 71.40
_space_group_name_H-M_alt 'P 1'
_space_group_IT_number 1
_space_group_name_Hall 'P 1'
loop_
_atom_site_label
_atom_site_fract_x
_atom_site_fract_y
_atom_site_fract_z
_atom_site_occupancy
Li1 0.0000 0.0000 0.0000 1
Lu1 0.1431 0.5356 0.9920 1
Lu2 0.6143 0.1509 0.3117 1
W1 0.2576 0.7149 0.4009 1
W2 0.5171 0.9827 0.8858 1
Cl1 0.8604 0.3588 0.8735 1
Cl2 0.9021 0.3758 0.3374 1
O1 0.2257 0.6173 0.6653 1
O2 0.3044 0.8171 0.9694 1
O3 0.3486 0.4795 0.2853 1
O4 0.4162 0.2095 0.0303 1
O5 0.4714 0.8626 0.3566 1
O6 0.5462 0.1031 0.6169 1
O7 0.8319 0.8225 0.9530 1
O8 0.9745 0.9035 0.3048 1
```

The 10 most intense peaks (10° ≤ 2θ ≤ 90°), low angle first:
| (hkl) | 2θ/deg | d/Å | Rel. int. |
| --- | --- | --- | --- |
| 1 0 0 | 15.58 | 5.686 | 32 |
| 1 1 0 | 17.87 | 4.965 | 44 |
| 1 -1 0 | 24.41 | 3.647 | 100 |
| 1 1 -1 | 24.65 | 3.611 | 60 |
| 0 0 2 | 26.45 | 3.369 | 50 |
| 1 2 1 | 28.18 | 3.167 | 43 |
| 1 0 2 | 30.40 | 2.940 | 37 |
| 2 1 1 | 31.27 | 2.860 | 30 |
| -1 1 2 | 33.79 | 2.652 | 32 |
| 0 2 -1 | 35.25 | 2.546 | 36 |

5.
For LiLu2W2Cl2O8, a cell relaxed with PBE+U gives the calculated powder X-ray diffraction pattern in this record (Cu Ka).
Neutral-atom scattering factors, no anomalous dispersion.

Crystal structure
```
data_LiLu2W2Cl2O8
_chemical_formula_sum 'Li1 Lu2 W2 Cl2 O8'
_cell_length_a 5.9910
_cell_length_b 6.6096
_cell_length_c 7.1611
_cell_angle_alpha 73.77
_cell_angle_beta 78.33
_cell_angle_gamma 69.57
_space_group_name_H-M_alt 'P 1'
_space_group_IT_number 1
_space_group_name_Hall 'P 1'
loop_
_atom_site_label
_atom_site_fract_x
_atom_site_fract_y
_atom_site_fract_z
_atom_site_occupancy
Li1 0.0000 0.0000 0.0000 1
Lu1 0.0053 0.4686 0.7979 1
Lu2 0.4911 0.0219 0.0868 1
W1 0.1338 0.5720 0.2200 1
W2 0.3774 0.8978 0.6641 1
Cl1 0.7418 0.2114 0.7370 1
Cl2 0.7501 0.2838 0.1606 1
O1 0.1003 0.5001 0.4880 1
O2 0.1778 0.7327 0.7329 1
O3 0.2268 0.3693 0.0540 1
O4 0.2619 0.1190 0.8042 1
O5 0.2880 0.7992 0.1302 1
O6 0.4030 0.0037 0.4026 1
O7 0.6658 0.7284 0.7421 1
O8 0.8409 0.7751 0.1214 1
```

The 10 most intense peaks (10° ≤ 2θ ≤ 90°), low angle first:
| (hkl) | 2θ/deg | d/Å | Rel. int. |
| --- | --- | --- | --- |
| 1 0 0 | 15.89 | 5.576 | 33 |
| 1 1 0 | 17.99 | 4.930 | 58 |
| 1 -1 0 | 24.89 | 3.577 | 100 |
| 1 1 -1 | 25.15 | 3.541 | 49 |
| 0 0 2 | 26.10 | 3.415 | 40 |
| 0 1 2 | 26.92 | 3.312 | 43 |
| 1 2 1 | 27.98 | 3.189 | 34 |
| 1 0 2 | 29.03 | 3.076 | 37 |
| 1 2 2 | 32.84 | 2.727 | 29 |
| -1 1 2 | 35.20 | 2.550 | 34 |

6.
For LuWClO4, a cell relaxed with PBE+U gives the calculated powder X-ray diffraction pattern in this record (Cu Ka).
Neutral-atom scattering factors, no anomalous dispersion.

Crystal structure
```
data_LuWClO4
_chemical_formula_sum 'Lu2 W2 Cl2 O8'
_cell_length_a 5.9863
_cell_length_b 6.5353
_cell_length_c 6.9597
_cell_angle_alpha 73.44
_cell_angle_beta 77.17
_cell_angle_gamma 70.71
_space_group_name_H-M_alt 'P -1'
_space_group_IT_number 2
_space_group_name_Hall '-P 1'
loop_
_atom_site_label
_atom_site_fract_x
_atom_site_fract_y
_atom_site_fract_z
_atom_site_occupancy
Lu1 0.2414 0.2020 0.3675 1
W1 0.3781 0.3562 0.7652 1
Cl1 0.0041 0.0272 0.7242 1
O1 0.0886 0.5202 0.6927 1
O2 0.3478 0.2556 0.0350 1
O3 0.4233 0.4694 0.3087 1
O4 0.4774 0.1244 0.6323 1
```

The 10 most intense peaks (10° ≤ 2θ ≤ 90°), low angle first:
| (hkl) | 2θ/deg | d/Å | Rel. int. |
| --- | --- | --- | --- |
| 0 0 1 | 13.41 | 6.604 | 35 |
| 1 1 0 | 18.33 | 4.840 | 39 |
| 1 -1 0 | 24.66 | 3.610 | 100 |
| 1 1 -1 | 25.96 | 3.432 | 59 |
| 0 0 2 | 27.00 | 3.302 | 31 |
| 0 1 2 | 27.67 | 3.224 | 39 |
| 1 2 1 | 28.36 | 3.147 | 40 |
| 1 0 2 | 29.41 | 3.037 | 35 |
| 2 1 1 | 30.66 | 2.916 | 31 |
| 2 -1 2 | 47.56 | 1.912 | 24 |

7.
For Sr4MgMn3Cl2O8, a cell relaxed with PBE+U gives the calculated powder X-ray diffraction pattern in this record (Cu Ka).
Neutral-atom scattering factors, no anomalous dispersion.

Crystal structure
```
data_Sr4MgMn3Cl2O8
_chemical_formula_sum 'Sr8 Mg2 Mn6 Cl4 O16'
_cell_length_a 4.0229
_cell_length_b 4.0229
_cell_length_c 39.0275
_cell_angle_alpha 90.00
_cell_angle_beta 90.00
_cell_angle_gamma 90.00
_space_group_name_H-M_alt 'I -4 m 2'
_space_group_IT_number 119
_space_group_name_Hall 'I -4 -2'
loop_
_atom_site_label
_atom_site_fract_x
_atom_site_fract_y
_atom_site_fract_z
_atom_site_occupancy
Sr1 0.0000 0.0000 0.0450 1
Sr2 0.0000 0.0000 0.1456 1
Mg1 0.0000 0.5000 0.2500 1
Mn1 0.0000 0.0000 0.3985 1
Mn2 0.0000 0.0000 0.5000 1
Cl1 0.0000 0.0000 0.2887 1
O1 0.0000 0.0000 0.4496 1
O2 0.0000 0.5000 0.0000 1
O3 0.0000 0.5000 0.1139 1
O4 0.0000 0.5000 0.6140 1
```

The 10 most intense peaks (10° ≤ 2θ ≤ 90°), low angle first:
| (hkl) | 2θ/deg | d/Å | Rel. int. |
| --- | --- | --- | --- |
| 0 0 12 | 27.36 | 3.260 | 32 |
| 1 0 9 | 30.31 | 2.949 | 100 |
| 1 1 0 | 31.45 | 2.845 | 74 |
| 1 0 11 | 33.68 | 2.661 | 77 |
| 2 0 0 | 45.07 | 2.011 | 58 |
| 2 1 9 | 55.28 | 1.662 | 34 |
| 1 1 20 | 57.25 | 1.609 | 21 |
| 2 1 11 | 57.43 | 1.605 | 33 |
| 2 2 0 | 65.64 | 1.422 | 17 |
| 2 0 20 | 66.79 | 1.401 | 18 |

8.
For Sr4MgMn3Cl2O8, a cell relaxed with PBE+U gives the calculated powder X-ray diffraction pattern in this record (Cu Ka).
Neutral-atom scattering factors, no anomalous dispersion.

Crystal structure
```
data_Sr4MgMn3Cl2O8
_chemical_formula_sum 'Sr8 Mg2 Mn6 Cl4 O16'
_cell_length_a 5.6652
_cell_length_b 5.6645
_cell_length_c 18.1100
_cell_angle_alpha 90.00
_cell_angle_beta 98.98
_cell_angle_gamma 90.00
_space_group_name_H-M_alt 'C 1 m 1'
_space_group_IT_number 8
_space_group_name_Hall 'C -2y'
loop_
_atom_site_label
_atom_site_fract_x
_atom_site_fract_y
_atom_site_fract_z
_atom_site_occupancy
Sr1 0.0000 0.0000 0.0000 1
Sr2 0.0974 0.0000 0.1943 1
Sr3 0.2039 0.0000 0.4068 1
Sr4 0.3283 0.5000 0.6580 1
Mg1 0.4102 0.5000 0.8161 1
Mn1 0.0436 0.5000 0.0871 1
Mn2 0.1541 0.5000 0.3072 1
Mn3 0.4256 0.0000 0.8477 1
Cl1 0.2479 0.5000 0.4953 1
Cl2 0.3099 0.0000 0.6204 1
O1 0.0983 0.5000 0.1963 1
O2 0.1508 0.2502 0.7977 1
O3 0.2929 0.2500 0.0858 1
O4 0.4138 0.2500 0.3265 1
O5 0.4811 0.0000 0.9618 1
```

The 10 most intense peaks (10° ≤ 2θ ≤ 90°), low angle first:
| (hkl) | 2θ/deg | d/Å | Rel. int. |
| --- | --- | --- | --- |
| 1 1 -3 | 25.48 | 3.495 | 20 |
| 0 2 0 | 31.59 | 2.832 | 100 |
| 1 1 -5 | 31.71 | 2.822 | 75 |
| 1 1 5 | 35.56 | 2.525 | 62 |
| 2 0 -6 | 40.63 | 2.221 | 24 |
| 2 2 -1 | 45.28 | 2.003 | 64 |
| 3 1 -6 | 56.33 | 1.633 | 27 |
| 3 1 4 | 58.85 | 1.569 | 29 |
| 0 4 0 | 65.96 | 1.416 | 19 |
| 4 2 -2 | 74.99 | 1.266 | 22 |

9.
For Rb2MgMo2P2Cl2O10, a cell relaxed with PBE+U gives the calculated powder X-ray diffraction pattern in this record (Cu Ka).
Neutral-atom scattering factors, no anomalous dispersion.

Crystal structure
```
data_Rb2MgMo2P2Cl2O10
_chemical_formula_sum 'Rb4 Mg2 Mo4 P4 Cl4 O20'
_cell_length_a 9.2725
_cell_length_b 9.6063
_cell_length_c 7.6054
_cell_angle_alpha 90.00
_cell_angle_beta 100.58
_cell_angle_gamma 90.00
_space_group_name_H-M_alt 'C 1 m 1'
_space_group_IT_number 8
_space_group_name_Hall 'C -2y'
loop_
_atom_site_label
_atom_site_fract_x
_atom_site_fract_y
_atom_site_fract_z
_atom_site_occupancy
Rb1 0.0000 0.1865 0.0000 1
Mg1 0.4893 0.0000 0.2851 1
Mo1 0.3091 0.5000 0.4662 1
Mo2 0.3248 0.0000 0.6401 1
P1 0.0573 0.2511 0.5495 1
Cl1 0.2081 0.5000 0.1089 1
Cl2 0.3250 0.0000 0.9985 1
O1 0.1235 0.3545 0.4245 1
O2 0.1763 0.1619 0.6640 1
O3 0.3129 0.0000 0.3964 1
O4 0.3578 0.5000 0.7071 1
O5 0.4487 0.3380 0.4159 1
O6 0.4824 0.1622 0.6795 1
```

The 10 most intense peaks (10° ≤ 2θ ≤ 90°), low angle first:
| (hkl) | 2θ/deg | d/Å | Rel. int. |
| --- | --- | --- | --- |
| 0 0 1 | 11.84 | 7.476 | 28 |
| 1 1 1 | 19.07 | 4.655 | 33 |
| 2 0 -1 | 20.88 | 4.254 | 21 |
| 0 0 2 | 23.80 | 3.738 | 38 |
| 1 1 -2 | 25.77 | 3.457 | 26 |
| 2 2 0 | 26.97 | 3.306 | 100 |
| 2 2 1 | 31.04 | 2.881 | 29 |
| 1 3 -1 | 31.25 | 2.862 | 19 |
| 2 2 -2 | 33.71 | 2.659 | 33 |
| 4 0 1 | 43.60 | 2.076 | 22 |

10.
For Sr4MgNi2Cl2O6, a cell relaxed with PBE+U gives the calculated powder X-ray diffraction pattern in this record (Cu Ka).
Neutral-atom scattering factors, no anomalous dispersion.

Crystal structure
```
data_Sr4MgNi2Cl2O6
_chemical_formula_sum 'Sr4 Mg1 Ni2 Cl2 O6'
_cell_length_a 3.9924
_cell_length_b 3.9924
_cell_length_c 17.7388
_cell_angle_alpha 90.00
_cell_angle_beta 90.00
_cell_angle_gamma 90.00
_space_group_name_H-M_alt 'P -4 m 2'
_space_group_IT_number 115
_space_group_name_Hall 'P -4 -2'
loop_
_atom_site_label
_atom_site_fract_x
_atom_site_fract_y
_atom_site_fract_z
_atom_site_occupancy
Sr1 0.0000 0.5000 0.0737 1
Sr2 0.0000 0.5000 0.2682 1
Mg1 0.5000 0.5000 0.5000 1
Ni1 0.0000 0.5000 0.8277 1
Cl1 0.0000 0.5000 0.5799 1
O1 0.0000 0.0000 0.1980 1
O2 0.0000 0.5000 0.9390 1
O3 0.5000 0.5000 0.1984 1
```

The 10 most intense peaks (10° ≤ 2θ ≤ 90°), low angle first:
| (hkl) | 2θ/deg | d/Å | Rel. int. |
| --- | --- | --- | --- |
| 1 0 4 | 30.12 | 2.967 | 100 |
| 1 1 0 | 31.70 | 2.823 | 67 |
| 1 1 1 | 32.11 | 2.788 | 15 |
| 1 0 5 | 33.80 | 2.652 | 43 |
| 1 0 7 | 42.24 | 2.140 | 16 |
| 1 1 6 | 44.37 | 2.042 | 20 |
| 2 0 0 | 45.44 | 1.996 | 44 |
| 2 1 4 | 55.49 | 1.656 | 39 |
| 1 1 9 | 56.98 | 1.616 | 13 |
| 2 1 5 | 57.81 | 1.595 | 19 |

11.
For Sr4MgNi2Cl2O6, a cell relaxed with PBE+U gives the calculated powder X-ray diffraction pattern in this record (Cu Ka).
Neutral-atom scattering factors, no anomalous dispersion.

Crystal structure
```
data_Sr4MgNi2Cl2O6
_chemical_formula_sum 'Sr4 Mg1 Ni2 Cl2 O6'
_cell_length_a 3.7475
_cell_length_b 4.5480
_cell_length_c 16.4273
_cell_angle_alpha 90.00
_cell_angle_beta 90.00
_cell_angle_gamma 90.00
_space_group_name_H-M_alt 'P m m 2'
_space_group_IT_number 25
_space_group_name_Hall 'P 2 -2'
loop_
_atom_site_label
_atom_site_fract_x
_atom_site_fract_y
_atom_site_fract_z
_atom_site_occupancy
Sr1 0.0000 0.0000 0.0000 1
Sr2 0.0000 0.0000 0.2006 1
Sr3 0.5000 0.5000 0.6339 1
Sr4 0.5000 0.5000 0.8422 1
Mg1 0.5000 0.0000 0.4840 1
Ni1 0.0000 0.0000 0.7255 1
Ni2 0.5000 0.5000 0.1006 1
Cl1 0.0000 0.0000 0.3814 1
Cl2 0.5000 0.5000 0.4612 1
O1 0.0000 0.0000 0.8391 1
O2 0.0000 0.5000 0.1459 1
O3 0.0000 0.5000 0.7246 1
O4 0.5000 0.0000 0.1070 1
O5 0.5000 0.0000 0.6061 1
O6 0.5000 0.5000 0.9791 1
```

The 10 most intense peaks (10° ≤ 2θ ≤ 90°), low angle first:
| (hkl) | 2θ/deg | d/Å | Rel. int. |
| --- | --- | --- | --- |
| 0 0 2 | 10.77 | 8.214 | 33 |
| 0 1 4 | 29.30 | 3.048 | 45 |
| 1 1 0 | 30.92 | 2.892 | 100 |
| 1 0 4 | 32.34 | 2.768 | 43 |
| 1 0 5 | 36.37 | 2.470 | 28 |
| 0 2 0 | 39.63 | 2.274 | 47 |
| 1 0 6 | 40.82 | 2.211 | 24 |
| 1 1 5 | 41.60 | 2.171 | 22 |
| 2 0 0 | 48.59 | 1.874 | 25 |
| 1 2 5 | 54.86 | 1.674 | 26 |